For KCrC4O8, a crystal structure in Alexandria, relaxed with PBE+U gives the calculated X-ray powder pattern in this record (Cu Kα (λ = 1.5418 Å)).

Structure:
Unit cell a=8.9976 b=3.3992 c=13.0236 alpha=90.00 beta=91.18 gamma=90.00
Space group P2/c (No. 13)
Inequivalent atoms, fractional coordinates:
K: 0.0000 0.2412 0.2500 [2 per cell]
Cr: 0.5000 0.5000 0.0000 [2 per cell]
C: 0.2240 0.2735 0.5769 [4 per cell]
C: 0.3402 0.0302 0.6400 [4 per cell]
O: 0.0926 0.2680 0.6018 [4 per cell]
O: 0.2795 0.4651 0.4998 [4 per cell]
O: 0.3087 0.1516 0.2173 [4 per cell]
O: 0.4744 0.0193 0.5958 [4 per cell]

Peak list (12 most intense, 10 to 90 degrees two-theta, in order of rising 2θ)
6.510 Å, 2θ 13.60, I = 14, (0 0 2)
5.223 Å, 2θ 16.97, I = 100, (1 0 2)
3.093 Å, 2θ 28.87, I = 7, (1 1 -1)
3.013 Å, 2θ 29.65, I = 18, (0 1 2)
2.865 Å, 2θ 31.22, I = 9, (1 1 -2)
2.745 Å, 2θ 32.62, I = 7, (3 0 -2)
2.703 Å, 2θ 33.15, I = 15, (3 0 2)
2.676 Å, 2θ 33.49, I = 18, (0 1 3)
2.351 Å, 2θ 38.28, I = 10, (0 1 4)
2.266 Å, 2θ 39.77, I = 9, (1 1 4)
2.249 Å, 2θ 40.10, I = 8, (4 0 0)
1.670 Å, 2θ 54.98, I = 7, (1 2 0)